This entry pairs a crystal structure of LaVBrO4 with its computed powder X-ray diffraction pattern. Radiation: copper Kα. Structure: a crystal structure in Alexandria, relaxed with PBE+U.
Neutral-atom scattering factors, no anomalous dispersion.

Top 8 peaks for 10 to 80 degrees two-theta, low angle first:
hkl  d [Å]  I (rel.)
2 0 -1  5.051  27
1 1 1  4.226  48
0 0 2  3.445  29
3 1 0  3.399  100
0 2 0  3.316  70
3 1 -1  3.292  32
1 1 -2  3.103  29
3 1 -2  2.671  25

Cell and atoms:
```
data_LaVBrO4
_cell_length_a 12.145
_cell_length_b 6.631
_cell_length_c 7.047
_cell_angle_alpha 90.00
_cell_angle_beta 102.07
_cell_angle_gamma 90.00
_space_group_name_H-M_alt 'C 1 2/m 1'
_space_group_IT_number 12
_space_group_name_Hall '-C 2y'
loop_
_atom_site_label
_atom_site_fract_x
_atom_site_fract_y
_atom_site_fract_z
La1 0.206 0.000 0.327
V1 0.133 0.000 0.755
Br1 0.019 0.500 0.167
O1 0.010 0.000 0.261
O2 0.176 0.204 0.624
O3 0.203 0.000 0.993
```